For K2MnNb6Cl18, a structure optimized by DFT (PBE) gives the simulated powder diffraction line list in this record (Cu Kα X-rays).

Atomic structure:
```
K2MnNb6Cl18
1.0
4.6640 2.6928 8.5421
-4.6640 2.6928 8.5421
0.0000 -5.3856 8.5421
K Mn Nb Cl
2 1 6 18
Direct
0.2221 0.2221 0.2221
0.7779 0.7779 0.7779
0.5000 0.5000 0.5000
0.0891 0.2045 0.8468
0.1532 0.9109 0.7955
0.2045 0.8468 0.0891
0.7955 0.1532 0.9109
0.8468 0.0891 0.2045
0.9109 0.7955 0.1532
0.0613 0.9252 0.3447
0.0748 0.6553 0.9387
0.1384 0.5788 0.2803
0.1996 0.4690 0.6561
0.2803 0.1384 0.5788
0.3439 0.8004 0.5310
0.3447 0.0613 0.9252
0.4212 0.7197 0.8616
0.4690 0.6561 0.1996
0.5310 0.3439 0.8004
0.5788 0.2803 0.1384
0.6553 0.9387 0.0748
0.6561 0.1996 0.4690
0.7197 0.8616 0.4212
0.8004 0.5310 0.3439
0.8616 0.4212 0.7197
0.9252 0.3447 0.0613
0.9387 0.0748 0.6553
```

Most intense lines, 5 to 70 degrees two-theta, in order of falling intensity:
Position (°2θ), d/Å, Rel. int.
12.96, 6.834, 100.0
34.18, 2.623, 91.1
11.49, 7.705, 82.4
40.84, 2.210, 51.5
10.36, 8.542, 41.6
51.87, 1.763, 32.4
55.49, 1.656, 23.6
38.39, 2.345, 23.3